Starting from a structure optimized by DFT (GGA-PBE), the X-ray powder pattern of Al6MoC was computed for CuKα.

Most intense lines, 2θ = 10–90°, sorted by position:
hkl 1 1 1, 2θ 19.3, I = 98
hkl 2 2 0, 2θ 31.8, I = 13
hkl 3 1 1, 2θ 37.5, I = 54
hkl 2 2 2, 2θ 39.2, I = 100
hkl 4 0 0, 2θ 45.6, I = 56
hkl 3 3 1, 2θ 50.0, I = 23
hkl 3 3 3, 2θ 60.4, I = 17
hkl 4 4 0, 2θ 66.5, I = 35
hkl 5 3 1, 2θ 69.9, I = 16
hkl 6 2 2, 2θ 80.0, I = 37

Crystal structure
```
data_Al6MoC
_chemical_formula_sum 'Al24 Mo4 C4'
_space_group_name_H-M_alt 'F -4 3 m'
_space_group_IT_number 216
_space_group_name_Hall 'F -4 2 3'
_cell_length_a 7.959
_cell_length_b 7.959
_cell_length_c 7.959
_cell_angle_alpha 90.00
_cell_angle_beta 90.00
_cell_angle_gamma 90.00
loop_
_atom_site_label
_atom_site_fract_x
_atom_site_fract_y
_atom_site_fract_z
Al1 0.000 0.000 0.245
Mo1 0.250 0.250 0.750
C1 0.000 0.000 0.500
```

---

Starting from a structure optimized by DFT (GGA-PBE), the X-ray powder pattern of ScAlMo2C2 was computed for CuKα.

Most intense lines, 2θ = 10–90°, sorted by position:
hkl 0 0 4, 2θ 18.6, I = 58
hkl 1 0 1, 2θ 34.2, I = 74
hkl 1 0 3, 2θ 36.8, I = 21
hkl 0 0 8, 2θ 37.7, I = 30
hkl 1 0 4, 2θ 38.9, I = 100
hkl 1 0 5, 2θ 41.5, I = 84
hkl 1 0 9, 2θ 55.6, I = 40
hkl 1 1 0, 2θ 60.6, I = 37
hkl 1 1 8, 2θ 73.6, I = 24
hkl 1 0 13, 2θ 73.9, I = 14

Crystal structure
```
data_ScAlMo2C2
_chemical_formula_sum 'Sc2 Al2 Mo4 C4'
_space_group_name_H-M_alt 'P 63/m m c'
_space_group_IT_number 194
_space_group_name_Hall '-P 6c 2c'
_cell_length_a 3.0558
_cell_length_b 3.0558
_cell_length_c 19.0727
_cell_angle_alpha 90.00
_cell_angle_beta 90.00
_cell_angle_gamma 120.00
loop_
_atom_site_label
_atom_site_fract_x
_atom_site_fract_y
_atom_site_fract_z
Sc1 0.0000 0.0000 0.0000
Al1 0.0000 0.0000 0.2500
Mo1 0.3333 0.6667 0.1376
C1 0.3333 0.6667 0.5758
```

---

Starting from a structure optimized by DFT (GGA-PBE), the X-ray powder pattern of Nb8Al2C3N3 was computed for CuKα.

Most intense lines, 2θ = 10–90°, sorted by position:
hkl 1 0 2, 2θ 33.9, I = 41
hkl 0 1 3, 2θ 34.9, I = 22
hkl 1 0 4, 2θ 36.3, I = 40
hkl 0 0 10, 2θ 36.9, I = 38
hkl 0 1 5, 2θ 38.0, I = 66
hkl 1 0 6, 2θ 40.0, I = 100
hkl 0 1 7, 2θ 42.3, I = 17
hkl 1 0 12, 2θ 56.7, I = 25
hkl 1 1 0, 2θ 59.1, I = 46
hkl 1 1 10, 2θ 71.7, I = 33

Crystal structure
```
data_Nb8Al2C3N3
_chemical_formula_sum 'Nb8 Al2 C3 N3'
_space_group_name_H-M_alt 'P -3 m 1'
_space_group_IT_number 164
_space_group_name_Hall '-P 3 2"'
_cell_length_a 3.1277
_cell_length_b 3.1277
_cell_length_c 24.3381
_cell_angle_alpha 90.00
_cell_angle_beta 90.00
_cell_angle_gamma 120.00
loop_
_atom_site_label
_atom_site_fract_x
_atom_site_fract_y
_atom_site_fract_z
Nb1 0.0000 0.0000 0.1582
Nb2 0.0000 0.0000 0.3413
Nb3 0.3333 0.6667 0.0554
Nb4 0.3333 0.6667 0.4486
Al1 0.3333 0.6667 0.2506
C1 0.0000 0.0000 0.0000
C2 0.3333 0.6667 0.8908
N1 0.0000 0.0000 0.5000
N2 0.3333 0.6667 0.6065
```

---

Starting from a structure optimized by DFT (GGA-PBE), the X-ray powder pattern of Ta8Al2C3N3 was computed for CuKα.

Most intense lines, 2θ = 10–90°, sorted by position:
hkl 1 0 2, 2θ 34.1, I = 54
hkl 0 1 3, 2θ 35.2, I = 34
hkl 1 0 4, 2θ 36.5, I = 47
hkl 0 0 10, 2θ 37.1, I = 44
hkl 0 1 5, 2θ 38.3, I = 64
hkl 1 0 6, 2θ 40.3, I = 100
hkl 0 1 7, 2θ 42.5, I = 20
hkl 1 0 12, 2θ 57.0, I = 30
hkl 1 1 0, 2θ 59.5, I = 47
hkl 1 1 10, 2θ 72.2, I = 39

Crystal structure
```
data_Ta8Al2C3N3
_chemical_formula_sum 'Ta8 Al2 C3 N3'
_space_group_name_H-M_alt 'P -3 m 1'
_space_group_IT_number 164
_space_group_name_Hall '-P 3 2"'
_cell_length_a 3.1053
_cell_length_b 3.1053
_cell_length_c 24.2627
_cell_angle_alpha 90.00
_cell_angle_beta 90.00
_cell_angle_gamma 120.00
loop_
_atom_site_label
_atom_site_fract_x
_atom_site_fract_y
_atom_site_fract_z
Ta1 0.0000 0.0000 0.1583
Ta2 0.0000 0.0000 0.3410
Ta3 0.3333 0.6667 0.0554
Ta4 0.3333 0.6667 0.4490
Al1 0.3333 0.6667 0.2507
C1 0.0000 0.0000 0.0000
C2 0.3333 0.6667 0.8914
N1 0.0000 0.0000 0.5000
N2 0.3333 0.6667 0.6055
```

---

Starting from a structure optimized by DFT (GGA-PBE), the X-ray powder pattern of AlW3CN was computed for CuKα.

Most intense lines, 2θ = 10–90°, sorted by position:
hkl 0 0 6, 2θ 26.5, I = 34
hkl 0 0 8, 2θ 35.5, I = 32
hkl 0 1 1, 2θ 36.1, I = 50
hkl 1 0 2, 2θ 36.9, I = 28
hkl 1 0 4, 2θ 40.1, I = 100
hkl 0 1 5, 2θ 42.4, I = 57
hkl 0 1 9, 2θ 54.9, I = 29
hkl 1 0 10, 2θ 58.7, I = 21
hkl 1 1 0, 2θ 64.3, I = 30
hkl 1 1 8, 2θ 75.7, I = 23

Crystal structure
```
data_AlW3CN
_chemical_formula_sum 'Al2 W6 C2 N2'
_space_group_name_H-M_alt 'P -3 m 1'
_space_group_IT_number 164
_space_group_name_Hall '-P 3 2"'
_cell_length_a 2.8970
_cell_length_b 2.8970
_cell_length_c 20.2102
_cell_angle_alpha 90.00
_cell_angle_beta 90.00
_cell_angle_gamma 120.00
loop_
_atom_site_label
_atom_site_fract_x
_atom_site_fract_y
_atom_site_fract_z
Al1 0.0000 0.0000 0.2464
W1 0.0000 0.0000 0.0000
W2 0.0000 0.0000 0.5000
W3 0.3333 0.6667 0.6437
W4 0.3333 0.6667 0.8642
C1 0.3333 0.6667 0.0702
N1 0.3333 0.6667 0.4253
```

---

Starting from a structure optimized by DFT (GGA-PBE), the X-ray powder pattern of Al2W8C3N3 was computed for CuKα.

Most intense lines, 2θ = 10–90°, sorted by position:
hkl 0 0 8, 2θ 27.7, I = 37
hkl 0 0 10, 2θ 34.9, I = 37
hkl 0 1 2, 2θ 36.3, I = 52
hkl 1 0 3, 2θ 37.2, I = 32
hkl 0 1 4, 2θ 38.4, I = 27
hkl 1 0 5, 2θ 39.9, I = 59
hkl 0 1 6, 2θ 41.6, I = 100
hkl 0 1 12, 2θ 56.4, I = 33
hkl 1 1 0, 2θ 64.0, I = 38
hkl 1 1 10, 2θ 75.0, I = 25

Crystal structure
```
data_Al2W8C3N3
_chemical_formula_sum 'Al2 W8 C3 N3'
_space_group_name_H-M_alt 'P -3 m 1'
_space_group_IT_number 164
_space_group_name_Hall '-P 3 2"'
_cell_length_a 2.9082
_cell_length_b 2.9082
_cell_length_c 25.7274
_cell_angle_alpha 90.00
_cell_angle_beta 90.00
_cell_angle_gamma 120.00
loop_
_atom_site_label
_atom_site_fract_x
_atom_site_fract_y
_atom_site_fract_z
Al1 0.3333 0.6667 0.2457
W1 0.0000 0.0000 0.1593
W2 0.0000 0.0000 0.3313
W3 0.3333 0.6667 0.0540
W4 0.3333 0.6667 0.4429
C1 0.0000 0.0000 0.0000
C2 0.3333 0.6667 0.8913
N1 0.0000 0.0000 0.5000
N2 0.3333 0.6667 0.6152
```

---

Starting from a structure optimized by DFT (GGA-PBE), the X-ray powder pattern of NbAl3C3 was computed for CuKα.

Most intense lines, 2θ = 10–90°, sorted by position:
hkl 0 0 2, 2θ 10.7, I = 79
hkl 0 0 4, 2θ 21.6, I = 18
hkl 1 0 2, 2θ 32.9, I = 100
hkl 1 0 4, 2θ 38.1, I = 66
hkl 1 0 5, 2θ 41.6, I = 14
hkl 0 0 8, 2θ 43.9, I = 19
hkl 1 0 6, 2θ 45.6, I = 47
hkl 1 1 0, 2θ 55.2, I = 37
hkl 1 0 10, 2θ 65.2, I = 14
hkl 1 1 8, 2θ 73.1, I = 25

Crystal structure
```
data_NbAl3C3
_chemical_formula_sum 'Nb2 Al6 C6'
_space_group_name_H-M_alt 'P 63/m m c'
_space_group_IT_number 194
_space_group_name_Hall '-P 6c 2c'
_cell_length_a 3.3273
_cell_length_b 3.3273
_cell_length_c 16.4937
_cell_angle_alpha 90.00
_cell_angle_beta 90.00
_cell_angle_gamma 120.00
loop_
_atom_site_label
_atom_site_fract_x
_atom_site_fract_y
_atom_site_fract_z
Nb1 0.0000 0.0000 0.0000
Al1 0.3333 0.6667 0.1277
Al2 0.3333 0.6667 0.7500
C1 0.3333 0.6667 0.2500
C2 0.3333 0.6667 0.5878
```

---

Starting from a structure optimized by DFT (GGA-PBE), the X-ray powder pattern of Nb3Al2C was computed for CuKα.

Most intense lines, 2θ = 10–90°, sorted by position:
hkl 1 1 0, 2θ 17.6, I = 14
hkl 1 1 1, 2θ 21.6, I = 15
hkl 2 1 0, 2θ 28.0, I = 19
hkl 2 2 1, 2θ 37.9, I = 100
hkl 3 1 0, 2θ 40.0, I = 58
hkl 3 1 1, 2θ 42.1, I = 21
hkl 4 1 1, 2θ 54.7, I = 13
hkl 4 2 0, 2θ 57.9, I = 12
hkl 4 3 1, 2θ 67.0, I = 20
hkl 5 2 0, 2θ 71.3, I = 20

Crystal structure
```
data_Nb3Al2C
_chemical_formula_sum 'Nb12 Al8 C4'
_space_group_name_H-M_alt 'P 41 3 2'
_space_group_IT_number 213
_space_group_name_Hall 'P 4bd 2ab 3'
_cell_length_a 7.124
_cell_length_b 7.124
_cell_length_c 7.124
_cell_angle_alpha 90.00
_cell_angle_beta 90.00
_cell_angle_gamma 90.00
loop_
_atom_site_label
_atom_site_fract_x
_atom_site_fract_y
_atom_site_fract_z
Nb1 0.045 0.125 0.795
Al1 0.070 0.930 0.430
C1 0.125 0.375 0.625
```

---

Starting from a structure optimized by DFT (GGA-PBE), the X-ray powder pattern of Ta2Nb4Al3C3 was computed for CuKα.

Most intense lines, 2θ = 10–90°, sorted by position:
hkl 0 0 2, 2θ 12.7, I = 37
hkl 3 1 -1, 2θ 33.2, I = 21
hkl 3 1 -2, 2θ 33.8, I = 21
hkl 3 1 2, 2θ 38.6, I = 100
hkl 0 0 6, 2θ 38.8, I = 20
hkl 3 1 5, 2θ 52.0, I = 16
hkl 6 0 -2, 2θ 59.3, I = 20
hkl 3 1 8, 2θ 70.1, I = 15
hkl 6 2 1, 2θ 73.0, I = 15
hkl 3 3 5, 2θ 73.1, I = 15

Crystal structure
```
data_Ta2Nb4Al3C3
_chemical_formula_sum 'Ta8 Nb16 Al12 C12'
_space_group_name_H-M_alt 'C 1 2/c 1'
_space_group_IT_number 15
_cell_length_a 9.352
_cell_length_b 5.402
_cell_length_c 14.266
_cell_angle_alpha 90.00
_cell_angle_beta 102.66
_cell_angle_gamma 90.00
loop_
_space_group_symop_operation_xyz
'x,y,z'
'-x,-y,-z'
'-x,y,-z+1/2'
'x,-y,z+1/2'
'x+1/2,y+1/2,z'
'-x+1/2,-y+1/2,-z'
'-x+1/2,y+1/2,-z+1/2'
'x+1/2,-y+1/2,z+1/2'
loop_
_atom_site_label
_atom_site_fract_x
_atom_site_fract_y
_atom_site_fract_z
Ta1 0.054 0.084 0.411
Nb1 0.113 0.418 0.590
Nb2 0.219 0.416 0.910
Al1 0.000 0.414 0.250
Al2 0.165 0.083 0.750
C1 0.082 0.247 0.000
C2 0.250 0.250 0.500
```

---

Starting from a structure optimized by DFT (GGA-PBE), the X-ray powder pattern of PrAl3C3 was computed for CuKα.

Most intense lines, 2θ = 10–90°, sorted by position:
hkl 0 0 4, 2θ 20.0, I = 23
hkl 1 0 0, 2θ 29.6, I = 15
hkl 1 0 2, 2θ 31.3, I = 100
hkl 1 0 4, 2θ 36.0, I = 65
hkl 0 0 8, 2θ 40.6, I = 16
hkl 1 0 6, 2θ 42.8, I = 40
hkl 1 1 0, 2θ 52.5, I = 27
hkl 1 0 10, 2θ 60.4, I = 17
hkl 2 0 2, 2θ 62.4, I = 14
hkl 1 1 8, 2θ 68.4, I = 20

Crystal structure
```
data_PrAl3C3
_chemical_formula_sum 'Pr2 Al6 C6'
_space_group_name_H-M_alt 'P 63/m m c'
_space_group_IT_number 194
_space_group_name_Hall '-P 6c 2c'
_cell_length_a 3.4862
_cell_length_b 3.4862
_cell_length_c 17.7772
_cell_angle_alpha 90.00
_cell_angle_beta 90.00
_cell_angle_gamma 120.00
loop_
_atom_site_label
_atom_site_fract_x
_atom_site_fract_y
_atom_site_fract_z
Pr1 0.0000 0.0000 0.0000
Al1 0.3333 0.6667 0.1372
Al2 0.3333 0.6667 0.7500
C1 0.3333 0.6667 0.2500
C2 0.3333 0.6667 0.5997
```

---

Starting from a structure optimized by DFT (GGA-PBE), the X-ray powder pattern of Al6PtC was computed for CuKα.

Most intense lines, 2θ = 10–90°, sorted by position:
hkl 1 1 1, 2θ 19.4, I = 100
hkl 2 0 0, 2θ 22.5, I = 21
hkl 2 2 0, 2θ 32.0, I = 27
hkl 3 1 1, 2θ 37.7, I = 57
hkl 2 2 2, 2θ 39.4, I = 53
hkl 4 0 0, 2θ 45.8, I = 29
hkl 3 3 1, 2θ 50.2, I = 26
hkl 3 3 3, 2θ 60.8, I = 20
hkl 5 3 1, 2θ 70.3, I = 19
hkl 6 2 2, 2θ 80.5, I = 20

Crystal structure
```
data_Al6PtC
_chemical_formula_sum 'Al24 Pt4 C4'
_space_group_name_H-M_alt 'F -4 3 m'
_space_group_IT_number 216
_space_group_name_Hall 'F -4 2 3'
_cell_length_a 7.917
_cell_length_b 7.917
_cell_length_c 7.917
_cell_angle_alpha 90.00
_cell_angle_beta 90.00
_cell_angle_gamma 90.00
loop_
_atom_site_label
_atom_site_fract_x
_atom_site_fract_y
_atom_site_fract_z
Al1 0.000 0.000 0.239
Pt1 0.250 0.250 0.750
C1 0.000 0.000 0.500
```

---

Starting from a structure optimized by DFT (GGA-PBE), the X-ray powder pattern of Sm3AlC was computed for CuKα.

Most intense lines, 2θ = 10–90°, sorted by position:
hkl 2 0 0, 2θ 17.7, I = 24
hkl 2 1 1, 2θ 25.1, I = 15
hkl 1 1 2, 2θ 29.6, I = 9
hkl 2 2 0, 2θ 30.9, I = 100
hkl 4 0 0, 2θ 35.8, I = 20
hkl 0 2 2, 2θ 35.9, I = 35
hkl 4 2 2, 2θ 51.6, I = 35
hkl 6 2 0, 2θ 61.3, I = 14
hkl 2 4 2, 2θ 61.4, I = 22
hkl 4 4 0, 2θ 64.4, I = 11

Crystal structure
```
data_Sm3AlC
_chemical_formula_sum 'Sm12 Al4 C4'
_space_group_name_H-M_alt 'I m a 2'
_space_group_IT_number 46
_cell_length_a 10.043
_cell_length_b 7.080
_cell_length_c 7.078
_cell_angle_alpha 90.00
_cell_angle_beta 90.00
_cell_angle_gamma 90.00
loop_
_space_group_symop_operation_xyz
'x,y,z'
'-x,-y,z'
'-x+1/2,y,z'
'x+1/2,-y,z'
'x+1/2,y+1/2,z+1/2'
'-x+1/2,-y+1/2,z+1/2'
'-x,y+1/2,z+1/2'
'x,-y+1/2,z+1/2'
loop_
_atom_site_label
_atom_site_fract_x
_atom_site_fract_y
_atom_site_fract_z
Sm1 0.000 0.000 0.000
Sm2 0.250 0.225 0.275
Sm3 0.250 0.725 0.225
Al1 0.000 0.000 0.502
C1 0.250 0.000 0.003
```